1.
Starting from the PBE geometry in Alexandria, the X-ray powder pattern of La2SmCd3 was simulated for Cu Kα (weighted mean of Kα1 and Kα2).
Neutral-atom scattering factors, no anomalous dispersion.

Atomic structure:
```
La2SmCd3
1.0
3.8800 0.0000 0.0000
0.0000 3.8800 0.0000
0.0000 0.0000 11.7839
La Sm Cd
2 1 3
direct
0.0000 0.0000 0.1713 La
0.0000 0.0000 0.8287 La
0.0000 0.0000 0.5000 Sm
0.5000 0.5000 0.0000 Cd
0.5000 0.5000 0.3450 Cd
0.5000 0.5000 0.6550 Cd
```

Main lines, sorted by position (2θ = 5–70°):
- d = 11.784 Å, 2θ = 7.5°, I 1
- d = 3.880 Å, 2θ = 22.9°, I 1
- d = 2.760 Å, 2θ = 32.4°, I 100
- d = 2.744 Å, 2θ = 32.6°, I 50
- d = 1.964 Å, 2θ = 46.2°, I 9
- d = 1.940 Å, 2θ = 46.8°, I 18
- d = 1.597 Å, 2θ = 57.7°, I 18
- d = 1.587 Å, 2θ = 58.1°, I 37
- d = 1.380 Å, 2θ = 67.9°, I 11
- d = 1.372 Å, 2θ = 68.4°, I 6


2.
Starting from the PBE geometry in Alexandria, the X-ray powder pattern of Pr7Al2Zn2 was simulated for Cu Kα (weighted mean of Kα1 and Kα2).
Neutral-atom scattering factors, no anomalous dispersion.

Atomic structure:
```
Pr7Al2Zn2
1.0
3.9643 -5.6268 0.0000
3.9643 5.6268 0.0000
0.0000 0.0000 7.6518
Pr Al Zn
7 2 2
direct
0.0000 0.0000 0.0000 Pr
0.0000 0.5000 0.2857 Pr
0.0000 0.5000 0.7143 Pr
0.5000 0.0000 0.2857 Pr
0.5000 0.0000 0.7143 Pr
0.5000 0.5000 0.2580 Pr
0.5000 0.5000 0.7420 Pr
0.1638 0.1638 0.5000 Al
0.8362 0.8362 0.5000 Al
0.2871 0.7129 0.0000 Zn
0.7129 0.2871 0.0000 Zn
```

Main lines, sorted by position (2θ = 5–70°):
- d = 3.826 Å, 2θ = 23.2°, I 22
- d = 3.520 Å, 2θ = 25.3°, I 32
- d = 3.295 Å, 2θ = 27.1°, I 52
- d = 3.241 Å, 2θ = 27.5°, I 100
- d = 2.813 Å, 2θ = 31.8°, I 63
- d = 2.753 Å, 2θ = 32.5°, I 22
- d = 2.538 Å, 2θ = 35.4°, I 44
- d = 2.473 Å, 2θ = 36.3°, I 89
- d = 1.982 Å, 2θ = 45.8°, I 22
- d = 1.620 Å, 2θ = 56.8°, I 20


3.
Starting from the PBE geometry in Alexandria, the X-ray powder pattern of NpNi9Au2 was simulated for Cu Kα (weighted mean of Kα1 and Kα2).
Neutral-atom scattering factors, no anomalous dispersion.

Atomic structure:
```
NpNi9Au2
1.0
2.4270 1.4012 7.8279
-2.4270 1.4012 7.8279
0.0000 -2.8024 7.8279
Np Ni Au
1 9 2
direct
0.0000 0.0000 0.0000 Np
0.0811 0.5853 0.5853 Ni
0.3342 0.3342 0.3342 Ni
0.4147 0.4148 0.9189 Ni
0.4147 0.9189 0.4147 Ni
0.5000 0.5000 0.5000 Ni
0.5853 0.0811 0.5853 Ni
0.5853 0.5853 0.0811 Ni
0.6658 0.6658 0.6658 Ni
0.9189 0.4148 0.4148 Ni
0.1435 0.1435 0.1435 Au
0.8565 0.8565 0.8565 Au
```

Main lines, sorted by position (2θ = 5–70°):
- d = 4.138 Å, 2θ = 21.5°, I 25
- d = 3.914 Å, 2θ = 22.7°, I 11
- d = 2.622 Å, 2θ = 34.2°, I 55
- d = 2.427 Å, 2θ = 37.0°, I 59
- d = 2.407 Å, 2θ = 37.4°, I 35
- d = 2.093 Å, 2θ = 43.2°, I 37
- d = 2.063 Å, 2θ = 43.9°, I 100
- d = 1.957 Å, 2θ = 46.4°, I 12
- d = 1.436 Å, 2θ = 64.9°, I 18
- d = 1.397 Å, 2θ = 67.0°, I 12


Please write out number 2 again, unchanged.
Starting from the PBE geometry in Alexandria, the X-ray powder pattern of Pr7Al2Zn2 was simulated for Cu Kα (weighted mean of Kα1 and Kα2).
Neutral-atom scattering factors, no anomalous dispersion.

Atomic structure:
```
Pr7Al2Zn2
1.0
3.9643 -5.6268 0.0000
3.9643 5.6268 0.0000
0.0000 0.0000 7.6518
Pr Al Zn
7 2 2
direct
0.0000 0.0000 0.0000 Pr
0.0000 0.5000 0.2857 Pr
0.0000 0.5000 0.7143 Pr
0.5000 0.0000 0.2857 Pr
0.5000 0.0000 0.7143 Pr
0.5000 0.5000 0.2580 Pr
0.5000 0.5000 0.7420 Pr
0.1638 0.1638 0.5000 Al
0.8362 0.8362 0.5000 Al
0.2871 0.7129 0.0000 Zn
0.7129 0.2871 0.0000 Zn
```

Main lines, sorted by position (2θ = 5–70°):
- d = 3.826 Å, 2θ = 23.2°, I 22
- d = 3.520 Å, 2θ = 25.3°, I 32
- d = 3.295 Å, 2θ = 27.1°, I 52
- d = 3.241 Å, 2θ = 27.5°, I 100
- d = 2.813 Å, 2θ = 31.8°, I 63
- d = 2.753 Å, 2θ = 32.5°, I 22
- d = 2.538 Å, 2θ = 35.4°, I 44
- d = 2.473 Å, 2θ = 36.3°, I 89
- d = 1.982 Å, 2θ = 45.8°, I 22
- d = 1.620 Å, 2θ = 56.8°, I 20